K3Mg2NiF9: computed X-ray diffraction stick pattern (a wavelength of 1.5418 Å), based on a crystal structure in Alexandria, relaxed with GGA+U.
Kinematic intensities with the Lorentz-polarization factor, no thermal factor.

Largest 12 diffraction maxima, low angle first, 2θ from 10° to 90°:
2θ 12.6, intensity 6.5; 2θ 17.9, intensity 8.8; 2θ 21.9, intensity 16.3; 2θ 31.2, intensity 100.0; 2θ 38.5, intensity 37.4; 2θ 44.7, intensity 89.4; 2θ 50.4, intensity 5.8; 2θ 55.6, intensity 36.8; 2θ 65.1, intensity 47.8; 2θ 74.0, intensity 15.5; 2θ 78.3, intensity 7.1; 2θ 82.5, intensity 14.5

Crystal structure
```
data_K3Mg2NiF9
_chemical_formula_sum 'K3 Mg2 Ni1 F9'
_cell_length_a 5.7270
_cell_length_b 5.7270
_cell_length_c 7.0219
_cell_angle_alpha 90.00
_cell_angle_beta 90.00
_cell_angle_gamma 120.00
_space_group_name_H-M_alt 'P -3 m 1'
_space_group_IT_number 164
_space_group_name_Hall '-P 3 2"'
loop_
_atom_site_label
_atom_site_type_symbol
_atom_site_fract_x
_atom_site_fract_y
_atom_site_fract_z
_atom_site_occupancy
K1 K 0.0000 0.0000 0.0000 1
K2 K 0.3333 0.6667 0.6636 1
Mg1 Mg 0.3333 0.6667 0.1637 1
Ni1 Ni 0.0000 0.0000 0.5000 1
F1 F 0.0000 0.5000 0.0000 1
F2 F 0.1676 0.3352 0.3322 1
```